Starting from a structure optimized by DFT (GGA-PBE), the PXRD pattern of HoAl3Pb2O8 was simulated for CuKα.
Kinematic intensities with the Lorentz-polarization factor, no thermal factor.

```
HoAl3Pb2O8
1.0
9.4174 0.0000 0.0000
0.0000 9.4174 0.0000
0.0000 0.0000 9.4174
Ho Al Pb O
4 12 8 32
Cartesian
0.0000 0.0000 0.0000
0.0000 4.7087 4.7087
4.7087 0.0000 4.7087
4.7087 4.7087 0.0000
0.0000 2.3544 7.0631
0.0000 7.0631 2.3544
2.3544 0.0000 7.0631
2.3544 4.7087 7.0631
2.3544 7.0631 0.0000
2.3544 7.0631 4.7087
4.7087 2.3544 7.0631
4.7087 7.0631 2.3544
7.0631 0.0000 2.3544
7.0631 2.3544 0.0000
7.0631 2.3544 4.7087
7.0631 4.7087 2.3544
1.0779 1.0779 3.6308
1.0779 3.6308 1.0779
3.6308 1.0779 1.0779
3.6308 3.6308 3.6308
5.7866 5.7866 5.7866
5.7866 8.3395 8.3395
8.3395 5.7866 8.3395
8.3395 8.3395 5.7866
0.8415 0.8415 7.1970
0.8415 3.8672 6.9291
0.8415 6.9291 3.8672
0.8415 7.1970 0.8415
1.2896 1.2896 1.2896
1.2896 3.4191 3.4191
2.2204 5.5503 5.5503
2.2204 8.5759 8.5759
2.4883 5.5503 8.5759
2.4883 8.5759 5.5503
3.4191 1.2896 3.4191
3.4191 3.4191 1.2896
3.8672 0.8415 6.9291
3.8672 3.8672 7.1970
3.8672 6.9291 0.8415
3.8672 7.1970 3.8672
5.5503 2.2204 5.5503
5.5503 2.4883 8.5759
5.5503 5.5503 2.2204
5.5503 8.5759 2.4883
5.9983 5.9983 8.1278
5.9983 8.1278 5.9983
6.9291 0.8415 3.8672
6.9291 3.8672 0.8415
7.1970 0.8415 0.8415
7.1970 3.8672 3.8672
8.1278 5.9983 5.9983
8.1278 8.1278 8.1278
8.5759 2.2204 8.5759
8.5759 2.4883 5.5503
8.5759 5.5503 2.4883
8.5759 8.5759 2.2204
```

Principal peaks in the range 10 to 90 degrees two-theta, in order of falling intensity:
two_theta  I/Imax
28.43  1000
30.01  762
31.51  691
13.30  671
40.65  472
50.35  394
55.17  388
49.34  269
18.85  260
56.10  258

=====

Starting from a structure optimized by DFT (GGA-PBE), the PXRD pattern of ErMg2ZnAu4 was simulated for CuKα.
Kinematic intensities with the Lorentz-polarization factor, no thermal factor.

```
ErMg2ZnAu4
1.0
4.7043 0.0000 0.0000
0.0000 4.7043 0.0000
0.0000 0.0000 6.8525
Er Mg Zn Au
1 2 1 4
Cartesian
0.0000 0.0000 0.0000
0.0000 0.0000 3.4263
2.3522 2.3522 0.0000
2.3522 2.3522 3.4263
0.0000 2.3522 1.8383
0.0000 2.3522 5.0143
2.3522 0.0000 1.8383
2.3522 0.0000 5.0143
```

Principal peaks in the range 10 to 90 degrees two-theta, in order of falling intensity:
two_theta  I/Imax
37.69  1000
38.26  499
68.80  346
26.80  269
55.23  173
67.66  161
26.01  133
46.85  115
22.93  108
80.48  101

=====

Starting from a structure optimized by DFT (GGA-PBE), the PXRD pattern of PbW2C was simulated for CuKα.
Kinematic intensities with the Lorentz-polarization factor, no thermal factor.

```
PbW2C
1.0
1.6067 -2.7494 0.0000
1.6067 2.7494 0.0000
-0.7367 0.0000 14.5914
Pb W C
2 4 2
Cartesian
1.0542 2.2385 10.9435
1.4225 -2.2385 3.6478
0.4288 0.4467 8.3868
0.7972 -0.4467 1.0911
1.6795 0.4467 13.5003
2.0478 -0.4467 6.2046
0.8033 1.3747 0.0000
0.4350 -1.3747 7.2957
```

Principal peaks in the range 10 to 90 degrees two-theta, in order of falling intensity:
two_theta  I/Imax
37.58  1000
35.13  965
39.99  799
32.60  626
36.96  622
58.14  352
74.03  181
67.76  167
67.01  166
68.25  164

=====

Starting from a structure optimized by DFT (GGA-PBE), the PXRD pattern of Li4ZnAg2Ge was simulated for CuKα.
Kinematic intensities with the Lorentz-polarization factor, no thermal factor.

```
Li4ZnAg2Ge
1.0
4.4311 0.0000 0.0000
0.0000 4.4311 0.0000
0.0000 0.0000 6.2601
Li Zn Ag Ge
4 1 2 1
Cartesian
0.0000 0.0000 0.0000
0.0000 2.2155 1.5642
2.2155 0.0000 4.6959
2.2155 2.2155 3.1300
0.0000 0.0000 3.1300
0.0000 2.2155 4.6965
2.2155 0.0000 1.5636
2.2155 2.2155 0.0000
```

Principal peaks in the range 10 to 90 degrees two-theta, in order of falling intensity:
two_theta  I/Imax
24.61  1000
40.74  926
48.18  469
74.15  293
64.88  183
58.98  149
79.50  136
88.24  95
28.50  49
66.78  15

=====

Starting from a structure optimized by DFT (GGA-PBE), the PXRD pattern of TcAsNO was simulated for CuKα.
Kinematic intensities with the Lorentz-polarization factor, no thermal factor.

```
TcAsNO
1.0
5.8797 0.0000 0.0000
0.0000 7.1308 0.0000
0.0000 0.0000 4.9639
Tc As N O
4 4 4 4
Cartesian
0.6122 0.4553 0.0000
2.3276 0.4553 2.4820
3.5521 6.6754 0.0000
5.2675 6.6754 2.4820
0.6114 4.8269 4.6009
2.3284 4.8269 2.1190
3.5513 2.3038 4.6009
5.2683 2.3038 2.1190
0.4968 1.1022 3.0813
2.4430 1.1022 0.5993
3.4367 6.0285 3.0813
5.3829 6.0285 0.5993
0.3510 2.4805 0.6356
2.5888 2.4805 3.1176
3.2909 4.6502 0.6356
5.5287 4.6502 3.1176
```

Principal peaks in the range 10 to 90 degrees two-theta, in order of falling intensity:
two_theta  I/Imax
35.49  1000
12.41  755
34.53  658
29.29  408
36.19  388
52.85  301
53.35  271
45.01  270
66.14  241
37.85  198

=====

Starting from a structure optimized by DFT (GGA-PBE), the PXRD pattern of SmDySbBr2 was simulated for CuKα.
Kinematic intensities with the Lorentz-polarization factor, no thermal factor.

```
SmDySbBr2
1.0
4.2649 0.0000 0.0000
-2.1324 3.6935 0.0000
0.0000 0.0000 10.8933
Sm Dy Sb Br
1 1 1 2
Cartesian
0.0000 0.0000 0.0000
2.1324 1.2312 7.3859
0.0000 2.4623 9.0880
0.0000 0.0000 5.6941
2.1324 1.2312 1.7561
```

Principal peaks in the range 10 to 90 degrees two-theta, in order of falling intensity:
two_theta  I/Imax
29.21  1000
41.18  383
42.39  354
52.31  195
69.51  165
67.79  156
34.64  151
76.71  122
60.58  122
25.46  116

=====

Starting from a structure optimized by DFT (GGA-PBE), the PXRD pattern of BaZnTeO was simulated for CuKα.
Kinematic intensities with the Lorentz-polarization factor, no thermal factor.

```
BaZnTeO
1.0
2.1364 -7.0116 0.0000
2.1364 7.0116 0.0000
0.0000 0.0000 6.3212
Ba Zn Te O
2 2 2 2
Cartesian
2.1364 5.7182 4.7409
2.1364 -5.7182 1.5803
2.1364 1.2579 4.7409
2.1364 -1.2579 1.5803
2.1364 4.2337 1.5803
2.1364 -4.2337 4.7409
2.1364 0.0000 0.0000
2.1364 0.0000 3.1606
```

Principal peaks in the range 10 to 90 degrees two-theta, in order of falling intensity:
two_theta  I/Imax
31.71  1000
28.25  610
52.20  337
29.13  220
52.49  182
42.31  181
51.64  166
35.92  109
58.40  99
70.74  95

=====

Starting from a structure optimized by DFT (GGA-PBE), the PXRD pattern of Hg5Pd6 was simulated for CuKα.
Kinematic intensities with the Lorentz-polarization factor, no thermal factor.

```
Hg5Pd6
1.0
9.1006 0.0000 0.0000
-4.5503 7.8814 0.0000
0.0000 0.0000 5.6981
Hg Pd
10 12
Cartesian
0.0000 0.0000 0.0000
0.0000 0.0000 2.8490
0.0000 3.0870 1.4245
-1.8769 6.3379 1.4245
0.0000 5.2543 4.2735
2.6734 1.5435 4.2735
1.8769 6.3379 1.4245
4.5503 2.6271 1.4245
6.4273 1.5435 4.2735
4.5503 4.7944 4.2735
-2.2752 3.9407 0.0000
-2.2752 3.9407 2.8490
0.0000 2.5075 4.2735
-2.3788 6.6276 4.2735
2.1715 1.2537 1.4245
4.5503 0.0000 0.0000
4.5503 0.0000 2.8490
2.2752 3.9407 0.0000
2.2752 3.9407 2.8490
2.3788 6.6276 4.2735
6.9291 1.2537 1.4245
4.5503 5.3739 1.4245
```

Principal peaks in the range 10 to 90 degrees two-theta, in order of falling intensity:
two_theta  I/Imax
39.01  1000
39.61  871
27.52  256
71.47  256
56.81  232
79.36  232
37.71  200
33.96  187
30.00  180
31.40  96

=====

Copy entry 7 word for word.
Starting from a structure optimized by DFT (GGA-PBE), the PXRD pattern of BaZnTeO was simulated for CuKα.
Kinematic intensities with the Lorentz-polarization factor, no thermal factor.

```
BaZnTeO
1.0
2.1364 -7.0116 0.0000
2.1364 7.0116 0.0000
0.0000 0.0000 6.3212
Ba Zn Te O
2 2 2 2
Cartesian
2.1364 5.7182 4.7409
2.1364 -5.7182 1.5803
2.1364 1.2579 4.7409
2.1364 -1.2579 1.5803
2.1364 4.2337 1.5803
2.1364 -4.2337 4.7409
2.1364 0.0000 0.0000
2.1364 0.0000 3.1606
```

Principal peaks in the range 10 to 90 degrees two-theta, in order of falling intensity:
two_theta  I/Imax
31.71  1000
28.25  610
52.20  337
29.13  220
52.49  182
42.31  181
51.64  166
35.92  109
58.40  99
70.74  95